For Al3GeS6, a cell relaxed with PBE gives the simulated powder diffractogram in this record (Cu Kα).

Atomic structure:
```
Al3GeS6
1.0
4.7545 -6.8927 0.0000
4.7545 6.8927 0.0000
0.0000 0.0000 6.1216
Al Ge S
6 2 12
Direct
0.0771 0.9229 0.5000
0.2178 0.3952 0.6686
0.3952 0.2178 0.1686
0.6048 0.7822 0.6686
0.7822 0.6048 0.1686
0.9229 0.0771 0.0000
0.2957 0.7043 0.2061
0.7043 0.2957 0.7061
0.0263 0.6368 0.3768
0.1291 0.2103 0.3293
0.2103 0.1291 0.8293
0.3197 0.6803 0.8146
0.3632 0.9737 0.3768
0.4472 0.5528 0.4363
0.5528 0.4472 0.9363
0.6368 0.0263 0.8768
0.6803 0.3197 0.3146
0.7897 0.8709 0.3293
0.8709 0.7897 0.8293
0.9737 0.3632 0.8768
```

Peak list (10 most intense, 2θ from 15° to 90°, low angle first)
18.40 deg, I 71
21.48 deg, I 45
25.99 deg, I 100
27.04 deg, I 44
29.75 deg, I 74
37.30 deg, I 80
37.47 deg, I 57
41.53 deg, I 56
43.50 deg, I 80
52.08 deg, I 55


For Hf12Zr6Cd, a cell relaxed with PBE gives the simulated powder diffractogram in this record (Cu Kα).

Atomic structure:
```
Hf12Zr6Cd
1.0
5.7164 -6.0711 0.0000
5.7164 6.0711 0.0000
-5.4758 0.0000 6.2788
Hf Zr Cd
12 6 1
Direct
0.0699 0.8386 0.2812
0.1614 0.9301 0.7188
0.2107 0.7893 0.0000
0.2525 0.5124 0.1189
0.3066 0.3066 0.7237
0.4876 0.7475 0.8811
0.5124 0.2525 0.1189
0.6934 0.6934 0.2763
0.7475 0.4876 0.8811
0.7893 0.2107 0.0000
0.8386 0.0699 0.2812
0.9301 0.1614 0.7188
0.0909 0.5511 0.4043
0.1646 0.1646 0.2040
0.4489 0.9091 0.5957
0.5511 0.0909 0.4043
0.8354 0.8354 0.7960
0.9091 0.4489 0.5957
0.5000 0.5000 0.5000
```

Peak list (10 most intense, 2θ from 15° to 90°, low angle first)
32.01 deg, I 44
32.10 deg, I 32
33.26 deg, I 68
33.43 deg, I 71
35.01 deg, I 70
35.33 deg, I 40
36.69 deg, I 100
37.14 deg, I 72
37.70 deg, I 36
57.06 deg, I 31


For La2Tb2Y7, a cell relaxed with PBE gives the simulated powder diffractogram in this record (Cu Kα).

Atomic structure:
```
La2Tb2Y7
1.0
5.6732 -5.8637 0.0000
5.6732 5.8637 0.0000
-2.4089 0.0000 5.5998
La Tb Y
2 2 7
Direct
0.2115 0.7885 0.0000
0.7885 0.2115 0.0000
0.2360 0.2360 0.0858
0.7640 0.7640 0.9142
0.0000 0.0000 0.5000
0.0637 0.5908 0.3279
0.4068 0.4068 0.6913
0.4092 0.9363 0.6721
0.5908 0.0637 0.3279
0.5932 0.5932 0.3087
0.9363 0.4092 0.6721
```

Peak list (10 most intense, 2θ from 15° to 90°, low angle first)
25.41 deg, I 17
30.52 deg, I 62
31.62 deg, I 100
33.46 deg, I 55
44.51 deg, I 13
49.19 deg, I 13
54.90 deg, I 10
55.14 deg, I 10
58.57 deg, I 9
66.04 deg, I 9


For BaSc, a cell relaxed with PBE gives the simulated powder diffractogram in this record (Cu Kα).

Atomic structure:
```
BaSc
1.0
-5.1356 5.1356 3.0802
5.1356 -5.1356 3.0802
5.1356 5.1356 -3.0802
Ba Sc
4 4
Direct
0.0000 0.2863 0.2863
0.0000 0.7137 0.7137
0.2863 0.0000 0.2863
0.7137 0.0000 0.7137
0.3448 0.3448 0.6897
0.3448 0.6552 0.0000
0.6552 0.3448 0.0000
0.6552 0.6552 0.3103
```

Peak list (10 most intense, 2θ from 15° to 90°, low angle first)
24.17 deg, I 61
24.51 deg, I 45
28.99 deg, I 37
29.86 deg, I 100
37.14 deg, I 19
38.32 deg, I 28
47.79 deg, I 18
50.06 deg, I 27
51.92 deg, I 21
66.96 deg, I 12


For TePS4Cl, a cell relaxed with PBE gives the simulated powder diffractogram in this record (Cu Kα).

Atomic structure:
```
TePS4Cl
1.0
4.8306 -5.5906 0.0000
4.8306 5.5906 0.0000
-3.6319 0.0000 9.9199
Te P S Cl
2 2 8 2
Direct
0.2241 0.2241 0.0059
0.7759 0.7759 0.9941
0.3500 0.3500 0.7563
0.6500 0.6500 0.2437
0.1644 0.4548 0.8674
0.2408 0.2408 0.5658
0.4298 0.4298 0.2335
0.4548 0.1644 0.8674
0.5452 0.8356 0.1326
0.5702 0.5702 0.7665
0.7592 0.7592 0.4342
0.8356 0.5452 0.1326
0.0749 0.0749 0.1890
0.9251 0.9251 0.8110
```

Peak list (10 most intense, 2θ from 15° to 90°, low angle first)
15.85 deg, I 100
18.21 deg, I 22
19.57 deg, I 28
24.22 deg, I 18
26.85 deg, I 22
29.56 deg, I 15
30.95 deg, I 16
31.79 deg, I 15
34.96 deg, I 15
39.76 deg, I 15


For Cs2ThCl5, a cell relaxed with PBE gives the simulated powder diffractogram in this record (Cu Kα).

Atomic structure:
```
Cs2ThCl5
1.0
10.3242 0.0000 0.0000
0.0000 14.3279 0.0000
0.0000 0.0000 3.9841
Cs Th Cl
4 2 10
Direct
0.0645 0.1720 0.0000
0.4355 0.6720 0.0000
0.5645 0.3280 0.0000
0.9355 0.8280 0.0000
0.0000 0.5000 0.5000
0.5000 0.0000 0.5000
0.0000 0.0000 0.5000
0.1342 0.6635 0.5000
0.1642 0.4200 0.0000
0.3358 0.9200 0.0000
0.3658 0.1635 0.5000
0.5000 0.5000 0.5000
0.6342 0.8365 0.5000
0.6642 0.0800 0.0000
0.8358 0.5800 0.0000
0.8658 0.3365 0.5000
```

Peak list (10 most intense, 2θ from 15° to 90°, low angle first)
17.18 deg, I 84
20.49 deg, I 100
24.75 deg, I 76
25.58 deg, I 46
28.99 deg, I 42
30.98 deg, I 75
32.06 deg, I 26
38.01 deg, I 30
39.72 deg, I 41
41.68 deg, I 31


For Ta7W5, a cell relaxed with PBE gives the simulated powder diffractogram in this record (Cu Kα).

Atomic structure:
```
Ta7W5
1.0
3.2586 -9.8032 0.0000
3.2586 9.8032 0.0000
0.0000 0.0000 3.2382
Ta W
7 5
Direct
0.0000 0.0000 0.0000
0.1692 0.8308 0.0000
0.1738 0.3415 0.5000
0.3415 0.1738 0.5000
0.6585 0.8262 0.5000
0.8262 0.6585 0.5000
0.8308 0.1692 0.0000
0.0000 0.5000 0.5000
0.3304 0.6696 0.0000
0.5000 0.0000 0.5000
0.5000 0.5000 0.0000
0.6696 0.3304 0.0000
```

Peak list (10 most intense, 2θ from 15° to 90°, low angle first)
39.04 deg, I 50
39.19 deg, I 100
56.31 deg, I 9
56.48 deg, I 9
56.87 deg, I 9
70.77 deg, I 18
70.88 deg, I 18
71.14 deg, I 18
84.19 deg, I 6
84.33 deg, I 6


For Mg5CdRh4, a cell relaxed with PBE gives the simulated powder diffractogram in this record (Cu Kα).

Atomic structure:
```
Mg5CdRh4
1.0
3.1734 0.0000 0.0000
0.0000 3.1734 0.0000
0.0000 0.0000 16.1794
Mg Cd Rh
5 1 4
Direct
0.0000 0.0000 0.0000
0.0000 0.0000 0.1882
0.0000 0.0000 0.3730
0.0000 0.0000 0.6270
0.0000 0.0000 0.8118
0.5000 0.5000 0.5000
0.5000 0.5000 0.0942
0.5000 0.5000 0.2851
0.5000 0.5000 0.7149
0.5000 0.5000 0.9058
```

Peak list (10 most intense, 2θ from 15° to 90°, low angle first)
27.57 deg, I 29
28.12 deg, I 56
39.78 deg, I 100
40.19 deg, I 56
49.43 deg, I 23
58.14 deg, I 18
65.52 deg, I 9
65.80 deg, I 10
71.95 deg, I 11
72.76 deg, I 32